Ce2In3Cu: computed powder diffraction line list (a wavelength of 1.5418 Å), based on DFT lattice parameters and positions (PBE).
Lines closer than 0.1° are merged.

Cell and atoms:
Lattice parameters (Å, degrees): 3.689 4.844 8.413 90.00 90.00 90.00
Fractional positions:
Ce1 0.000 0.000 0.000
Ce2 0.000 0.500 0.479
In1 0.500 0.000 0.636
In2 0.500 0.500 0.167
In3 0.500 0.500 0.823
Cu1 0.500 0.000 0.316

Main lines, sorted by position (2θ = 15–90°):
| 2θ/deg | I_rel | h k l |
| --- | --- | --- |
| 32.30 | 100 | 1 1 1 |
| 37.07 | 68 | 0 2 0 |
| 49.41 | 10 | 2 0 0 |
| 49.97 | 28 | 1 2 2 |
| 63.35 | 27 | 2 2 0 |
| 63.78 | 16 | 1 2 4 |
| 63.90 | 9 | 1 3 1 |
| 66.86 | 8 | 0 3 3 |
| 81.58 | 7 | 3 1 1 |
| 87.50 | 7 | 2 3 3 |